[1]
Diffraction record for Ca2Tl17. The X-ray powder pattern is computed, not measured: it uses a crystal structure in Alexandria, relaxed with PBE and Cu Kα X-rays.

Peak list (10 most intense, 15° ≤ 2θ ≤ 90°, in order of rising 2θ)
2θ/deg	I/Imax	h k l
16.00	35	1 1 0
27.62	19	0 2 4
30.71	23	0 0 6
31.68	40	2 0 5
31.92	78	0 3 3
32.31	41	2 2 0
34.81	43	1 1 6
35.90	100	2 2 3
53.93	21	4 1 6
57.63	24	6 0 0

Crystal structure
```
data_Ca2Tl17
_chemical_formula_sum 'Ca6 Tl51'
_cell_length_a 11.0820
_cell_length_b 11.0820
_cell_length_c 17.4680
_cell_angle_alpha 90.00
_cell_angle_beta 90.00
_cell_angle_gamma 120.00
_symmetry_space_group_name_H-M 'R -3 m'
_symmetry_Int_Tables_number 166
_symmetry_space_group_name_Hall '-R 3 2"'
loop_
_atom_site_label
_atom_site_type_symbol
_atom_site_fract_x
_atom_site_fract_y
_atom_site_fract_z
Ca1 Ca 0.0000 0.0000 0.2066
Tl1 Tl 0.0000 0.0000 0.4077
Tl2 Tl 0.0000 0.3035 0.5000
Tl3 Tl 0.0000 0.5000 0.0000
Tl4 Tl 0.0166 0.5083 0.6405
```

=====

[2]
Diffraction record for Ca5Tl. The X-ray powder pattern is computed, not measured: it uses a crystal structure in Alexandria, relaxed with PBE and Cu Kα X-rays.

Peak list (10 most intense, 15° ≤ 2θ ≤ 90°, in order of rising 2θ)
2θ/deg	I/Imax	h k l
23.07	25	1 1 0
26.52	20	1 1 1
29.16	47	4 0 -2
29.54	54	2 0 2
29.88	27	3 1 -1
30.26	98	1 1 -2
30.41	100	3 1 0
38.54	19	1 1 -3
53.06	24	5 1 2
54.61	19	2 2 2

Crystal structure
```
data_Ca5Tl
_chemical_formula_sum 'Ca10 Tl2'
_cell_length_a 13.608
_cell_length_b 4.042
_cell_length_c 8.653
_cell_angle_alpha 90.00
_cell_angle_beta 109.27
_cell_angle_gamma 90.00
_symmetry_space_group_name_H-M 'C 1 m 1'
_symmetry_Int_Tables_number 8
loop_
_symmetry_equiv_pos_as_xyz
'x,y,z'
'x,-y,z'
'x+1/2,y+1/2,z'
'x+1/2,-y+1/2,z'
loop_
_atom_site_label
_atom_site_type_symbol
_atom_site_fract_x
_atom_site_fract_y
_atom_site_fract_z
Ca1 Ca 0.000 0.000 0.000
Ca2 Ca 0.024 0.000 0.441
Ca3 Ca 0.165 0.500 0.799
Ca4 Ca 0.307 0.000 0.157
Ca5 Ca 0.331 0.000 0.599
Tl1 Tl 0.165 0.500 0.300
```

=====

[3]
Diffraction record for Ca3Tl. The X-ray powder pattern is computed, not measured: it uses a crystal structure in Alexandria, relaxed with PBE and Cu Kα X-rays.

Peak list (10 most intense, 15° ≤ 2θ ≤ 90°, in order of rising 2θ)
2θ/deg	I/Imax	h k l
17.21	39	1 0 1
19.52	16	0 0 4
22.11	36	1 0 3
23.42	22	1 1 0
30.67	100	1 1 4
33.36	41	2 0 0
40.39	16	2 1 3
47.90	15	2 2 0
52.74	19	2 0 8
57.95	31	3 1 4

Crystal structure
```
data_Ca3Tl
_chemical_formula_sum 'Ca12 Tl4'
_cell_length_a 5.372
_cell_length_b 5.372
_cell_length_c 18.194
_cell_angle_alpha 90.00
_cell_angle_beta 90.00
_cell_angle_gamma 90.00
_symmetry_space_group_name_H-M 'I 4/m m m'
_symmetry_Int_Tables_number 139
_symmetry_space_group_name_Hall '-I 4 2'
loop_
_atom_site_label
_atom_site_type_symbol
_atom_site_fract_x
_atom_site_fract_y
_atom_site_fract_z
Ca1 Ca 0.000 0.000 0.125
Ca2 Ca 0.000 0.500 0.000
Ca3 Ca 0.000 0.500 0.250
Tl1 Tl 0.000 0.000 0.366
```

=====

[4]
Diffraction record for Ca5Tl3. The X-ray powder pattern is computed, not measured: it uses a crystal structure in Alexandria, relaxed with PBE and Cu Kα X-rays.

Peak list (10 most intense, 15° ≤ 2θ ≤ 90°, in order of rising 2θ)
2θ/deg	I/Imax	h k l
19.58	86	1 1 0
30.11	21	2 1 0
32.45	100	1 1 1
34.25	39	3 0 0
39.76	15	2 2 0
43.26	16	3 0 1
47.90	19	2 2 1
49.37	13	3 1 1
60.20	19	4 1 1
64.32	13	3 0 2

Crystal structure
```
data_Ca5Tl3
_chemical_formula_sum 'Ca5 Tl3'
_cell_length_a 9.0686
_cell_length_b 9.0686
_cell_length_c 3.4775
_cell_angle_alpha 90.00
_cell_angle_beta 90.00
_cell_angle_gamma 120.00
_symmetry_space_group_name_H-M 'P -6 2 m'
_symmetry_Int_Tables_number 189
_symmetry_space_group_name_Hall 'P -6 -2'
loop_
_atom_site_label
_atom_site_type_symbol
_atom_site_fract_x
_atom_site_fract_y
_atom_site_fract_z
Ca1 Ca 0.0000 0.2453 0.0000
Ca2 Ca 0.3333 0.6667 0.0000
Tl1 Tl 0.0000 0.6313 0.5000
```